Record 1
# Fe2CoCl
Calculated powder diffractogram, Cu Kα X-rays. Input: a structure optimized by DFT (PBE).
Peak positions follow from Bragg's law for the DFT cell and can differ from measured ones.

Cell and atoms:
Unit cell a=3.0519 b=2.9386 c=6.5207 alpha=90.00 beta=90.01 gamma=90.00
Space group Pm (No. 6)
Inequivalent atoms, fractional coordinates:
1 Fe 0.0000 0.0000 0.0000 x1
2 Fe 0.5000 0.5000 0.2093 x1
3 Co 0.4999 0.5000 0.8134 x1
4 Cl 0.4981 0.0000 0.5081 x1

The 10 most intense peaks (10° ≤ 2θ ≤ 90°), by angle:
Position (°2θ)	intensity
13.58	86
29.26	36
40.49	43
41.36	100
42.72	54
45.03	75
51.63	52
76.11	28
85.98	21
87.95	24

Record 2
# Hf2FeCoCl
Calculated powder diffractogram, Cu Kα X-rays. Input: a structure optimized by DFT (PBE).
Peak positions follow from Bragg's law for the DFT cell and can differ from measured ones.

Cell and atoms:
Unit cell a=4.7186 b=4.7186 c=3.9660 alpha=90.00 beta=90.00 gamma=90.00
Space group P4/mmm (No. 123)
Inequivalent atoms, fractional coordinates:
1 Hf 0.0000 0.5000 0.0000 x2
2 Fe 0.0000 0.0000 0.5000 x1
3 Co 0.5000 0.5000 0.5000 x1
4 Cl 0.5000 0.5000 0.0000 x1

The 10 most intense peaks (10° ≤ 2θ ≤ 90°), by angle:
Position (°2θ)	intensity
22.42	29
26.72	19
35.15	100
38.14	54
44.69	19
45.76	16
55.05	18
61.04	26
67.01	30
74.30	15